The following is a computed powder X-ray diffraction pattern of K3VSO3. It was derived from a DFT-relaxed cell (GGA+U, Alexandria), using CuKα.
No peak broadening, texture or thermal motion is included.

Atomic structure:
Lattice parameters (Å, degrees): 6.7926 6.0010 8.8402 90.00 103.32 90.00
Space group P2_1/m (No. 11)
Unique sites:
K 0.1920 0.2500 0.0295 [2 per cell]
K 0.2682 0.2500 0.4948 [2 per cell]
K 0.2677 0.7500 0.7763 [2 per cell]
V 0.2018 0.7500 0.2886 [2 per cell]
S 0.4471 0.7500 0.1535 [2 per cell]
O 0.0542 0.5160 0.2378 [4 per cell]
O 0.3114 0.7500 0.4851 [2 per cell]

Peak list (10 most intense, 5 to 70 degrees two-theta, most intense first)
(1 1 2), 31.09°, d 2.876, I = 100
(1 1 -2), 26.53°, d 3.360, I = 63
(0 2 0), 29.78°, d 3.001, I = 54
(2 2 0), 40.61°, d 2.222, I = 31
(2 1 -2), 33.65°, d 2.663, I = 24
(2 0 0), 26.98°, d 3.305, I = 24
(1 3 2), 53.68°, d 1.707, I = 16
(1 0 -1), 14.90°, d 5.945, I = 16
(2 1 -1), 30.53°, d 2.928, I = 15
(2 2 4), 64.84°, d 1.438, I = 13